Entry 1:
The following is a theoretical X-ray powder pattern of Rb2OsAuF6. It was derived from a structure optimized by DFT (GGA-PBE), using Cu Kα (weighted mean of Kα1 and Kα2).
Neutral-atom scattering factors, no anomalous dispersion.

Top 8 peaks for 5 to 70 degrees two-theta, by angle:
Position (°2θ), d [Å], I_rel
18.40, 4.821, 31
26.14, 3.409, 58
27.60, 3.232, 100
37.30, 2.411, 35
41.48, 2.177, 14
47.03, 1.932, 44
49.69, 1.835, 21
57.00, 1.616, 20

```
Rb2OsAuF6
1.0
-3.4092 3.4092 4.3544
3.4092 -3.4092 4.3544
3.4092 3.4092 -4.3544
Rb Os Au F
2 1 1 6
Direct
0.2500 0.7500 0.5000
0.7500 0.2500 0.5000
0.0000 0.0000 0.0000
0.5000 0.5000 0.0000
0.2062 0.2062 0.4123
0.2062 0.7938 0.0000
0.2379 0.2379 0.0000
0.7621 0.7621 0.0000
0.7938 0.2062 0.0000
0.7938 0.7938 0.5877
```

Entry 2:
The following is a theoretical X-ray powder pattern of PbAu2F8. It was derived from a structure optimized by DFT (GGA-PBE), using Cu Kα (weighted mean of Kα1 and Kα2).
Neutral-atom scattering factors, no anomalous dispersion.

Top 8 peaks for 5 to 70 degrees two-theta, by angle:
Position (°2θ), d [Å], I_rel
16.96, 5.227, 34
26.63, 3.347, 100
30.22, 2.958, 27
34.85, 2.574, 13
43.27, 2.091, 19
44.64, 2.030, 33
51.53, 1.774, 34
53.93, 1.700, 15

```
PbAu2F8
1.0
-2.9577 2.9577 5.5821
2.9577 -2.9577 5.5821
2.9577 2.9577 -5.5821
Pb Au F
1 2 8
Direct
0.0000 0.0000 0.0000
0.2500 0.7500 0.5000
0.7500 0.2500 0.5000
0.0358 0.5486 0.8366
0.1991 0.0358 0.4872
0.2880 0.4514 0.4872
0.4514 0.9642 0.1634
0.5486 0.7120 0.5128
0.7120 0.1991 0.1634
0.8009 0.2880 0.8366
0.9642 0.8009 0.5128
```

Entry 3:
The following is a theoretical X-ray powder pattern of Pd2AuF11. It was derived from a structure optimized by DFT (GGA-PBE), using Cu Kα (weighted mean of Kα1 and Kα2).
Neutral-atom scattering factors, no anomalous dispersion.

Top 8 peaks for 5 to 70 degrees two-theta, by angle:
Position (°2θ), d [Å], I_rel
13.72, 6.456, 35
16.22, 5.466, 38
21.35, 4.161, 100
27.70, 3.221, 31
31.64, 2.828, 35
32.26, 2.775, 24
36.82, 2.441, 14
45.35, 2.000, 14

```
Pd2AuF11
1.0
-3.9997 5.4660 5.4298
3.9997 -5.4660 5.4298
3.9997 5.4660 -5.4298
Pd Au F
4 2 22
Direct
0.0936 0.2195 0.3132
0.4064 0.7195 0.1259
0.5936 0.2805 0.8741
0.9064 0.7805 0.6868
0.2500 0.7500 0.5000
0.7500 0.2500 0.5000
0.0000 0.0000 0.0000
0.0638 0.0087 0.3300
0.1067 0.4403 0.2877
0.1526 0.8191 0.7123
0.1734 0.4280 0.6014
0.1787 0.5087 0.9449
0.3213 0.2662 0.3300
0.3266 0.9280 0.2545
0.3474 0.0597 0.6665
0.3933 0.6809 0.3335
0.4362 0.7662 0.9449
0.5000 0.5000 0.0000
0.5638 0.2338 0.0551
0.6067 0.3191 0.6665
0.6526 0.9403 0.3335
0.6734 0.0720 0.7455
0.6787 0.7338 0.6700
0.8213 0.4913 0.0551
0.8266 0.5720 0.3986
0.8474 0.1809 0.2877
0.8933 0.5597 0.7123
0.9362 0.9913 0.6700
```

Entry 4:
The following is a theoretical X-ray powder pattern of PdAu2F6. It was derived from a structure optimized by DFT (GGA-PBE), using Cu Kα (weighted mean of Kα1 and Kα2).
Neutral-atom scattering factors, no anomalous dispersion.

Top 8 peaks for 5 to 70 degrees two-theta, by angle:
Position (°2θ), d [Å], I_rel
19.09, 4.649, 36
23.28, 3.821, 86
25.42, 3.503, 62
27.97, 3.190, 100
29.05, 3.074, 49
32.07, 2.791, 36
39.80, 2.265, 34
48.13, 1.891, 34

```
PdAu2F6
1.0
4.3986 0.0000 0.0000
0.0851 4.7591 0.0000
0.5507 1.4885 6.7949
Pd Au F
1 2 6
Direct
0.0000 0.0000 0.0000
0.4202 0.5757 0.6641
0.5798 0.4243 0.3359
0.0812 0.2775 0.7370
0.2494 0.1450 0.3880
0.3126 0.7217 0.9373
0.6874 0.2783 0.0627
0.7506 0.8550 0.6120
0.9188 0.7225 0.2630
```

Entry 5:
The following is a theoretical X-ray powder pattern of Pd2AuF8. It was derived from a structure optimized by DFT (GGA-PBE), using Cu Kα (weighted mean of Kα1 and Kα2).
Neutral-atom scattering factors, no anomalous dispersion.

Top 8 peaks for 5 to 70 degrees two-theta, by angle:
Position (°2θ), d [Å], I_rel
17.02, 5.208, 69
19.43, 4.569, 33
25.15, 3.541, 100
25.40, 3.507, 79
25.75, 3.460, 76
28.77, 3.103, 42
35.57, 2.524, 34
45.47, 1.995, 38

```
Pd2AuF8
1.0
5.2126 -3.4600 0.0000
5.2126 3.4600 0.0000
-0.1892 0.0000 4.5687
Pd Au F
2 1 8
Direct
0.1067 0.1067 0.2478
0.8933 0.8933 0.7522
0.5000 0.5000 0.0000
0.0897 0.0897 0.7435
0.1902 0.6045 0.7524
0.2914 0.2914 0.2416
0.3955 0.8098 0.2476
0.6045 0.1902 0.7524
0.7086 0.7086 0.7584
0.8098 0.3955 0.2476
0.9103 0.9103 0.2565
```

Entry 6:
The following is a theoretical X-ray powder pattern of Pu2AuF11. It was derived from a structure optimized by DFT (GGA-PBE), using Cu Kα (weighted mean of Kα1 and Kα2).
Neutral-atom scattering factors, no anomalous dispersion.

Top 8 peaks for 5 to 70 degrees two-theta, by angle:
Position (°2θ), d [Å], I_rel
16.08, 5.511, 38
20.95, 4.240, 100
21.71, 4.093, 78
23.58, 3.773, 96
23.75, 3.746, 75
26.03, 3.423, 33
43.50, 2.081, 36
44.10, 2.053, 59

```
Pu2AuF11
1.0
-4.3675 5.1063 5.5114
4.3675 -5.1063 5.5114
4.3675 5.1063 -5.5114
Pu Au F
4 2 22
Direct
0.1769 0.1556 0.3324
0.3231 0.6556 0.9787
0.6769 0.3444 0.0213
0.8231 0.8444 0.6676
0.2500 0.7500 0.5000
0.7500 0.2500 0.5000
0.0000 0.0000 0.0000
0.0602 0.4474 0.7817
0.0648 0.8670 0.6685
0.1658 0.9474 0.3872
0.1984 0.3963 0.3315
0.2112 0.8554 0.0665
0.2888 0.3554 0.6442
0.3016 0.6330 0.1978
0.3342 0.7214 0.7817
0.4352 0.1037 0.8022
0.4398 0.2214 0.3872
0.5000 0.5000 0.0000
0.5602 0.7786 0.6128
0.5648 0.8963 0.1978
0.6658 0.2786 0.2183
0.6984 0.3670 0.8022
0.7112 0.6446 0.3558
0.7888 0.1446 0.9335
0.8016 0.6037 0.6685
0.8342 0.0526 0.6128
0.9352 0.1330 0.3315
0.9398 0.5526 0.2183
```

Entry 7:
The following is a theoretical X-ray powder pattern of Rb6Au4F. It was derived from a structure optimized by DFT (GGA-PBE), using Cu Kα (weighted mean of Kα1 and Kα2).
Neutral-atom scattering factors, no anomalous dispersion.

Top 8 peaks for 5 to 70 degrees two-theta, by angle:
Position (°2θ), d [Å], I_rel
14.02, 6.319, 20
17.06, 5.196, 23
22.21, 4.003, 18
28.17, 3.168, 100
31.66, 2.826, 28
34.52, 2.598, 22
36.22, 2.480, 32
40.33, 2.236, 31

```
Rb6Au4F
1.0
8.9365 0.0000 0.0000
0.0000 8.9365 0.0000
0.0000 0.0000 10.3925
Rb Au F
12 8 2
Direct
0.0000 0.0000 0.2392
0.0000 0.0000 0.7608
0.1421 0.3013 0.5000
0.1987 0.3579 0.0000
0.3013 0.8579 0.5000
0.3579 0.8013 0.0000
0.5000 0.5000 0.2608
0.5000 0.5000 0.7392
0.6421 0.1987 0.0000
0.6987 0.1421 0.5000
0.8013 0.6421 0.0000
0.8579 0.6987 0.5000
0.1152 0.6152 0.2500
0.1152 0.6152 0.7500
0.3848 0.1152 0.2500
0.3848 0.1152 0.7500
0.6152 0.8848 0.2500
0.6152 0.8848 0.7500
0.8848 0.3848 0.2500
0.8848 0.3848 0.7500
0.0000 0.0000 0.5000
0.5000 0.5000 0.0000
```

Entry 8:
The following is a theoretical X-ray powder pattern of Rb3Au2F9. It was derived from a structure optimized by DFT (GGA-PBE), using Cu Kα (weighted mean of Kα1 and Kα2).
Neutral-atom scattering factors, no anomalous dispersion.

Top 8 peaks for 5 to 70 degrees two-theta, by angle:
Position (°2θ), d [Å], I_rel
15.03, 5.893, 32
15.37, 5.764, 100
16.48, 5.380, 30
25.68, 3.469, 36
26.31, 3.387, 28
27.11, 3.289, 45
27.72, 3.218, 47
30.71, 2.911, 38

```
Rb3Au2F9
1.0
6.5811 0.0000 0.0000
-3.1096 6.2803 0.0000
-0.0512 -0.3778 15.4280
Rb Au F
6 4 18
Direct
0.0006 0.0619 0.3108
0.1974 0.4642 0.8767
0.3307 0.6298 0.5645
0.6693 0.3702 0.4355
0.8026 0.5358 0.1233
0.9994 0.9381 0.6892
0.3469 0.6842 0.3214
0.4431 0.9015 0.1158
0.5569 0.0985 0.8842
0.6531 0.3158 0.6786
0.0955 0.7274 0.3723
0.1318 0.4741 0.2379
0.1911 0.9425 0.1668
0.2299 0.6792 0.0366
0.2544 0.3655 0.4263
0.3096 0.1427 0.9358
0.3440 0.8766 0.8045
0.3980 0.3584 0.7279
0.4378 0.0954 0.5976
0.5622 0.9046 0.4024
0.6020 0.6416 0.2721
0.6560 0.1234 0.1955
0.6904 0.8573 0.0642
0.7456 0.6345 0.5737
0.7701 0.3209 0.9634
0.8089 0.0575 0.8332
0.8682 0.5259 0.7621
0.9045 0.2726 0.6277
```

Entry 9:
The following is a theoretical X-ray powder pattern of Rb2TeAuF6. It was derived from a structure optimized by DFT (GGA-PBE), using Cu Kα (weighted mean of Kα1 and Kα2).
Neutral-atom scattering factors, no anomalous dispersion.

Top 8 peaks for 5 to 70 degrees two-theta, by angle:
Position (°2θ), d [Å], I_rel
18.04, 4.917, 21
25.62, 3.477, 53
26.16, 3.407, 100
36.55, 2.458, 35
38.09, 2.362, 16
45.50, 1.993, 43
46.47, 1.954, 21
53.82, 1.703, 21

```
Rb2TeAuF6
1.0
-3.4765 3.4765 4.7249
3.4765 -3.4765 4.7249
3.4765 3.4765 -4.7249
Rb Te Au F
2 1 1 6
Direct
0.2500 0.7500 0.5000
0.7500 0.2500 0.5000
0.0000 0.0000 0.0000
0.5000 0.5000 0.0000
0.2129 0.2129 0.4258
0.2129 0.7871 0.0000
0.2230 0.2230 0.0000
0.7770 0.7770 0.0000
0.7871 0.2129 0.0000
0.7871 0.7871 0.5742
```

Entry 10:
The following is a theoretical X-ray powder pattern of Re3AuF. It was derived from a structure optimized by DFT (GGA-PBE), using Cu Kα (weighted mean of Kα1 and Kα2).
Neutral-atom scattering factors, no anomalous dispersion.

Top 4 peaks for 5 to 70 degrees two-theta, by angle:
Position (°2θ), d [Å], I_rel
29.92, 2.986, 1
36.86, 2.438, 100
42.83, 2.112, 55
62.17, 1.493, 37

```
Re3AuF
1.0
4.2232 0.0000 0.0000
0.0000 4.2232 0.0000
0.0000 0.0000 4.2232
Re Au F
3 1 1
Direct
0.0000 0.0000 0.5000
0.0000 0.5000 0.0000
0.5000 0.0000 0.0000
0.5000 0.5000 0.5000
0.0000 0.0000 0.0000
```

Entry 11:
The following is a theoretical X-ray powder pattern of TiRu2AuF. It was derived from a structure optimized by DFT (GGA-PBE), using Cu Kα (weighted mean of Kα1 and Kα2).
Neutral-atom scattering factors, no anomalous dispersion.

Top 8 peaks for 5 to 70 degrees two-theta, by angle:
Position (°2θ), d [Å], I_rel
19.47, 4.558, 65
26.51, 3.362, 20
33.11, 2.706, 100
36.07, 2.490, 31
39.54, 2.279, 48
41.32, 2.185, 20
54.59, 1.681, 37
67.66, 1.385, 25

```
TiRu2AuF
1.0
4.5584 0.0000 0.0000
0.0000 4.5584 0.0000
0.0000 0.0000 4.9795
Ti Ru Au F
1 2 1 1
Direct
0.0000 0.0000 0.0000
0.0000 0.5000 0.0000
0.5000 0.0000 0.0000
0.0000 0.0000 0.5000
0.5000 0.5000 0.5000
```